Structure and calculated X-ray powder pattern of Pm2Ni5Pt5 (a structure optimized by DFT (GGA-PBE); Cu Ka).
No peak broadening, texture or thermal motion is included.

Peak list (12 most intense, 2θ from 10° to 90°, by intensity)
2θ = 40.5°, I = 100, hkl 1 1 3
2θ = 41.2°, I = 30, hkl 1 2 0
2θ = 42.7°, I = 30, hkl 2 0 0
2θ = 34.2°, I = 28, hkl 0 1 3
2θ = 35.1°, I = 23, hkl 0 2 0
2θ = 66.6°, I = 22, hkl 1 3 3
2θ = 21.0°, I = 22, hkl 1 0 0
2θ = 19.9°, I = 17, hkl 0 1 1
2θ = 46.0°, I = 17, hkl 1 2 2
2θ = 76.7°, I = 15, hkl 3 1 3
2θ = 87.6°, I = 14, hkl 2 2 6
2θ = 55.8°, I = 14, hkl 2 1 3

Cell and atoms:
```
data_Pm2Ni5Pt5
_chemical_formula_sum 'Pm2 Ni5 Pt5'
_cell_length_a 4.236
_cell_length_b 5.113
_cell_length_c 9.152
_cell_angle_alpha 90.00
_cell_angle_beta 90.00
_cell_angle_gamma 90.00
_space_group_name_H-M_alt 'P m m m'
_space_group_IT_number 47
loop_
_space_group_symop_operation_xyz
'x,y,z'
'-x,-y,-z'
'-x,-y,z'
'x,y,-z'
'x,-y,-z'
'-x,y,z'
'-x,y,-z'
'x,-y,z'
loop_
_atom_site_label
_atom_site_type_symbol
_atom_site_fract_x
_atom_site_fract_y
_atom_site_fract_z
Pm1 Pm 0.000 0.000 0.000
Pm2 Pm 0.000 0.500 0.500
Ni1 Ni 0.500 0.000 0.500
Ni2 Ni 0.500 0.248 0.257
Pt1 Pt 0.000 0.000 0.334
Pt2 Pt 0.000 0.500 0.180
Pt3 Pt 0.500 0.500 0.000
```